CuRe2Hg: theoretical powder diffractogram (a wavelength of 1.5418 Å), based on a cell relaxed with GGA-PBE.

Crystal structure
a b c (Å): 3.0049 3.0049 7.1502
angles (deg): 90.00 90.00 90.00
Atoms (fractional coordinates):
Cu1 0.0000 0.0000 0.0000
Re1 0.0000 0.0000 0.5579
Re2 0.5000 0.5000 0.7595
Hg1 0.5000 0.5000 0.2478

The 12 most intense peaks (2θ from 15° to 90°), sorted by position:
d [Å], two_theta, Rel. int.
3.575, 24.91, 9
3.005, 29.73, 5
2.770, 32.32, 9
2.300, 39.16, 100
2.125, 42.55, 44
1.827, 49.93, 6
1.788, 51.10, 8
1.536, 60.24, 8
1.502, 61.74, 15
1.368, 68.61, 14
1.258, 75.59, 29
1.150, 84.18, 8

PmTm3Fe: theoretical powder diffractogram (a wavelength of 1.5418 Å), based on a cell relaxed with GGA-PBE.

Crystal structure
a b c (Å): 8.7967 3.5975 9.1486
angles (deg): 90.00 109.09 90.00
Atoms (fractional coordinates):
Pm1 0.1400 0.2500 0.4352
Pm2 0.8600 0.7500 0.5648
Tm1 0.1638 0.7500 0.1215
Tm2 0.2155 0.2500 0.8261
Tm3 0.4933 0.7500 0.7031
Tm4 0.5067 0.2500 0.2969
Tm5 0.7845 0.7500 0.1739
Tm6 0.8362 0.2500 0.8785
Fe1 0.4423 0.7500 0.0326
Fe2 0.5577 0.2500 0.9674

The 12 most intense peaks (2θ from 15° to 90°), sorted by position:
d [Å], two_theta, Rel. int.
2.959, 30.20, 21
2.843, 31.46, 28
2.768, 32.34, 100
2.483, 36.18, 16
2.326, 38.71, 8
2.201, 41.00, 9
1.799, 50.75, 10
1.780, 51.33, 11
1.568, 58.91, 9
1.520, 60.95, 8
1.509, 61.45, 9
1.456, 63.92, 12

Ac2Zn3Ag17: theoretical powder diffractogram (a wavelength of 1.5418 Å), based on a cell relaxed with GGA-PBE.

Crystal structure
a b c (Å): 7.7944 7.7944 7.7944
angles (deg): 84.21 84.21 84.21
Atoms (fractional coordinates):
Ac1 0.1591 0.1591 0.1591
Ac2 0.8409 0.8409 0.8409
Zn1 0.0000 0.0000 0.5000
Zn2 0.0000 0.5000 0.0000
Zn3 0.5000 0.0000 0.0000
Ag1 0.0000 0.5000 0.5000
Ag2 0.1672 0.1672 0.6833
Ag3 0.1672 0.6833 0.1672
Ag4 0.2391 0.5000 0.7609
Ag5 0.2391 0.7609 0.5000
Ag6 0.3167 0.8328 0.8328
Ag7 0.3994 0.3994 0.3994
Ag8 0.5000 0.0000 0.5000
Ag9 0.5000 0.2391 0.7609
Ag10 0.5000 0.5000 0.0000
Ag11 0.5000 0.7609 0.2391
Ag12 0.6006 0.6006 0.6006
Ag13 0.6833 0.1672 0.1672
Ag14 0.7609 0.2391 0.5000
Ag15 0.7609 0.5000 0.2391
Ag16 0.8328 0.3167 0.8328
Ag17 0.8328 0.8328 0.3167

The 12 most intense peaks (2θ from 15° to 90°), sorted by position:
d [Å], two_theta, Rel. int.
3.587, 24.82, 23
3.105, 28.75, 20
2.613, 34.32, 100
2.574, 34.86, 63
2.512, 35.75, 44
2.467, 36.42, 47
2.309, 39.01, 21
2.238, 40.30, 31
1.834, 49.72, 28
1.794, 50.91, 35
1.307, 72.32, 24
1.155, 83.78, 22

Pr2Zn16Ir: theoretical powder diffractogram (a wavelength of 1.5418 Å), based on a cell relaxed with GGA-PBE.

Crystal structure
a b c (Å): 6.8543 6.8543 6.8543
angles (deg): 82.67 82.67 82.67
Atoms (fractional coordinates):
Pr1 0.0000 0.0000 0.0000
Pr2 0.3285 0.3285 0.3285
Zn1 0.0158 0.0158 0.5140
Zn2 0.0158 0.5140 0.0158
Zn3 0.1616 0.6735 0.6735
Zn4 0.3160 0.3160 0.8275
Zn5 0.3160 0.8275 0.3160
Zn6 0.3848 0.6701 0.9551
Zn7 0.3848 0.9551 0.6701
Zn8 0.5140 0.0158 0.0158
Zn9 0.5680 0.5680 0.5680
Zn10 0.6701 0.3848 0.9551
Zn11 0.6701 0.9551 0.3848
Zn12 0.6735 0.1616 0.6735
Zn13 0.6735 0.6735 0.1616
Zn14 0.8275 0.3160 0.3160
Zn15 0.9551 0.3848 0.6701
Zn16 0.9551 0.6701 0.3848
Ir1 0.7669 0.7669 0.7669

The 12 most intense peaks (2θ from 15° to 90°), sorted by position:
d [Å], two_theta, Rel. int.
3.168, 28.17, 27
2.614, 34.31, 58
2.536, 35.40, 47
2.263, 39.83, 95
2.252, 40.05, 100
2.215, 40.74, 64
2.201, 41.00, 39
2.016, 44.97, 45
1.583, 58.29, 27
1.307, 72.31, 31
1.286, 73.63, 27
1.132, 85.88, 22